Starting from a DFT-relaxed cell (PBE, the Materials Project), the powder diffractogram of Sc3AlC was simulated for a wavelength of 1.5418 Å.
Lines closer than 0.1° are merged.

Structure:
```
data_Sc3AlC
_chemical_formula_sum 'Sc3 Al1 C1'
_space_group_name_H-M_alt 'P 1'
_space_group_IT_number 1
_cell_length_a 4.512
_cell_length_b 4.512
_cell_length_c 4.512
_cell_angle_alpha 90.00
_cell_angle_beta 90.00
_cell_angle_gamma 90.00
loop_
_space_group_symop_operation_xyz
'x,y,z'
loop_
_atom_site_label
_atom_site_type_symbol
_atom_site_fract_x
_atom_site_fract_y
_atom_site_fract_z
Sc1 Sc 0.000 0.000 0.500
Sc2 Sc 0.000 0.500 0.000
Sc3 Sc 0.500 0.000 0.000
Al1 Al 0.500 0.500 0.500
C1 C 0.000 0.000 0.000
```

Top 9 peaks for 10° ≤ 2θ ≤ 80°, in order of rising 2θ:
| Position (°2θ) | I (rel.) | (hkl) |
| --- | --- | --- |
| 19.7 | 13.1 | 1 0 0 |
| 34.4 | 100.0 | 1 1 1 |
| 40.0 | 62.3 | 2 0 0 |
| 44.9 | 4.2 | 2 1 0 |
| 57.8 | 37.8 | 2 2 0 |
| 61.7 | 1.6 | 3 0 0 |
| 69.0 | 34.3 | 3 1 1 |
| 72.6 | 12.0 | 2 2 2 |
| 76.1 | 0.6 | 3 2 0 |